Gd2MoSe3O12: simulated XRD peak list (Cu Kα, 1.54184 Å), based on the PBE+U geometry in Alexandria.

The 10 most intense peaks (10° ≤ 2θ ≤ 90°), sorted by position:
d/Å	I (rel.)	h k l
4.388	19	0 1 2
3.500	92	0 0 3
3.238	40	1 2 1
3.187	63	2 0 0
3.015	100	1 -2 1
2.889	19	1 2 -1
2.786	32	2 0 3
2.569	24	-1 2 2
2.505	19	1 2 -2
2.079	32	2 0 -3

Crystal structure
```
data_Gd2MoSe3O12
_chemical_formula_sum 'Gd4 Mo2 Se6 O24'
_cell_length_a 6.6656
_cell_length_b 7.2175
_cell_length_c 10.9974
_cell_angle_alpha 85.12
_cell_angle_beta 73.16
_cell_angle_gamma 86.38
_symmetry_space_group_name_H-M 'P -1'
_symmetry_Int_Tables_number 2
_symmetry_space_group_name_Hall '-P 1'
loop_
_atom_site_label
_atom_site_type_symbol
_atom_site_fract_x
_atom_site_fract_y
_atom_site_fract_z
Gd1 Gd 0.2052 0.1801 0.1671
Gd2 Gd 0.2678 0.3608 0.4908
Mo1 Mo 0.2785 0.1077 0.7924
Se1 Se 0.2003 0.6597 0.2163
Se2 Se 0.2101 0.8601 0.5076
Se3 Se 0.3416 0.6396 0.8576
O1 O 0.0414 0.1902 0.3927
O2 O 0.0565 0.8706 0.1951
O3 O 0.0830 0.6029 0.3816
O4 O 0.0992 0.4971 0.1501
O5 O 0.1781 0.8312 0.8207
O6 O 0.2183 0.1675 0.9525
O7 O 0.2805 0.0379 0.5840
O8 O 0.3060 0.3267 0.7009
O9 O 0.3575 0.6633 0.5401
O10 O 0.4273 0.3477 0.2692
O11 O 0.4471 0.7299 0.9620
O12 O 0.4521 0.9730 0.2353
```